This entry pairs a crystal structure of Mn2CoH4 with its computed powder diffractogram. Radiation: λ = 1.5418 Å (Cu Kα). Structure: DFT lattice parameters and positions (PBE).
No peak broadening, texture or thermal motion is included.

Cell: 4.165 5.832 4.374 Å, 90.00 90.00 90.00°
Sites, in units of the cell vectors:
Mn  0.250  0.003  0.241
Mn  0.250  0.497  0.241
Mn  0.750  0.503  0.759
Mn  0.750  0.997  0.759
Co  0.250  0.250  0.745
Co  0.750  0.750  0.255
H  0.014  0.750  0.514
H  0.250  0.518  0.823
H  0.250  0.982  0.823
H  0.486  0.750  0.514
H  0.514  0.250  0.486
H  0.750  0.018  0.177
H  0.750  0.482  0.177
H  0.986  0.250  0.486

Principal peaks in the range 10 to 90 degrees two-theta, in order of rising 2θ:
hkl 0 1 1, 25.45°, I 26; hkl 1 1 0, 26.29°, I 28; hkl 1 0 1, 29.62°, I 11; hkl 0 0 2, 41.28°, I 29; hkl 1 2 1, 43.15°, I 100; hkl 2 0 0, 43.45°, I 25; hkl 1 1 2, 49.61°, I 9; hkl 2 0 2, 61.48°, I 17; hkl 1 2 3, 76.55°, I 16; hkl 3 2 1, 79.55°, I 14